# Sr2LiFeO3F
Simulated powder XRD pattern, Cu Ka. Input: a DFT-relaxed cell (GGA+U, Alexandria).

Structure:
Lattice parameters (Å, degrees): 4.0023 4.0937 6.9247 90.00 90.00 90.00
Sites, in units of the cell vectors:
Sr 0.0000 0.0000 0.0000
Sr 0.0000 0.0000 0.4865
Li 0.5000 0.5000 0.2408
Fe 0.5000 0.5000 0.7465
O 0.0000 0.5000 0.7725
O 0.5000 0.0000 0.2231
O 0.5000 0.0000 0.7188
F 0.0000 0.5000 0.2756

Most intense lines, 2θ = 10–80°, sorted by position:
| 2theta | Rel. int. | index |
| --- | --- | --- |
| 21.7 | 28 | 0 1 0 |
| 22.2 | 30 | 1 0 0 |
| 31.3 | 56 | 1 1 0 |
| 33.9 | 100 | 0 1 2 |
| 34.2 | 87 | 1 0 2 |
| 40.9 | 56 | 1 1 2 |
| 44.3 | 34 | 0 2 0 |
| 45.3 | 32 | 2 0 0 |
| 57.1 | 38 | 1 2 2 |
| 57.8 | 43 | 2 1 2 |